# 1
Computed XRD peak list of Mn3Cr for Cu Ka, from a structure optimized by DFT (GGA-PBE).
Kinematic intensities with the Lorentz-polarization factor, no thermal factor.

Most intense lines, 10 to 90 degrees two-theta, sorted by position:
| 2theta | Rel. int. |
| --- | --- |
| 40.27 | 34 |
| 45.27 | 100 |
| 49.87 | 70 |
| 73.19 | 7 |
| 76.71 | 18 |
| 80.18 | 30 |
| 87.01 | 12 |

Atomic structure:
```
data_Mn3Cr
_chemical_formula_sum 'Mn6 Cr2'
_symmetry_space_group_name_H-M 'P m -3 n'
_symmetry_Int_Tables_number 223
_symmetry_space_group_name_Hall '-P 4n 2 3'
_cell_length_a 4.479
_cell_length_b 4.479
_cell_length_c 4.479
_cell_angle_alpha 90.00
_cell_angle_beta 90.00
_cell_angle_gamma 90.00
loop_
_atom_site_label
_atom_site_fract_x
_atom_site_fract_y
_atom_site_fract_z
Mn1 0.000 0.250 0.500
Cr1 0.000 0.000 0.000
```

***

# 2
Computed XRD peak list of Mn3Cr2 for Cu Ka, from a structure optimized by DFT (GGA-PBE).
Kinematic intensities with the Lorentz-polarization factor, no thermal factor.

Most intense lines, 10 to 90 degrees two-theta, sorted by position:
| 2theta | Rel. int. |
| --- | --- |
| 17.16 | 1 |
| 43.79 | 34 |
| 44.34 | 100 |
| 51.51 | 61 |
| 75.43 | 17 |
| 76.22 | 17 |

Atomic structure:
```
data_Mn3Cr2
_chemical_formula_sum 'Mn9 Cr6'
_symmetry_space_group_name_H-M 'R -3 m'
_symmetry_Int_Tables_number 166
_symmetry_space_group_name_Hall '-R 3 2"'
_cell_length_a 2.4982
_cell_length_b 2.4982
_cell_length_c 31.0066
_cell_angle_alpha 90.00
_cell_angle_beta 90.00
_cell_angle_gamma 120.00
loop_
_atom_site_label
_atom_site_fract_x
_atom_site_fract_y
_atom_site_fract_z
Mn1 0.0000 0.0000 0.0000
Mn2 0.0000 0.0000 0.1985
Cr1 0.0000 0.0000 0.3999
```